# 1
For Nd3PuO7, the PBE geometry in Alexandria gives the simulated powder XRD pattern in this record (CuKα).
Intensities are scaled so that the largest is 100.

```
data_Nd3PuO7
_space_group_name_H-M_alt 'C m c m'
_space_group_IT_number 63
_space_group_name_Hall '-C 2c 2'
_cell_length_a 7.784
_cell_length_b 11.089
_cell_length_c 7.930
_cell_angle_alpha 90.00
_cell_angle_beta 90.00
_cell_angle_gamma 90.00
loop_
_atom_site_label
_atom_site_fract_x
_atom_site_fract_y
_atom_site_fract_z
Nd1 0.000 0.000 0.000
Nd2 0.232 0.266 0.250
Pu1 0.000 0.500 0.000
O1 0.000 0.131 0.750
O2 0.000 0.134 0.250
O3 0.000 0.416 0.250
O4 0.204 0.376 0.529
```

The 6 most intense peaks (15° ≤ 2θ ≤ 90°), sorted by position:
hkl  2theta  I_rel
0 2 2  27.66  100
2 2 0  28.01  97
2 0 2  32.25  70
2 4 2  46.27  60
2 2 4  54.52  31
4 2 2  55.12  27

---

# 2
For PrSm6S8, the PBE geometry in Alexandria gives the simulated powder XRD pattern in this record (CuKα).
Intensities are scaled so that the largest is 100.

```
data_PrSm6S8
_space_group_name_H-M_alt 'F m -3 m'
_space_group_IT_number 225
_space_group_name_Hall '-F 4 2 3'
_cell_length_a 11.337
_cell_length_b 11.337
_cell_length_c 11.337
_cell_angle_alpha 90.00
_cell_angle_beta 90.00
_cell_angle_gamma 90.00
loop_
_atom_site_label
_atom_site_fract_x
_atom_site_fract_y
_atom_site_fract_z
Pr1 0.000 0.000 0.000
Sm1 0.000 0.250 0.250
S1 0.000 0.000 0.254
S2 0.250 0.250 0.250
```

The 6 most intense peaks (15° ≤ 2θ ≤ 90°), sorted by position:
hkl  2theta  I_rel
2 2 2  27.25  66
4 0 0  31.57  100
4 4 0  45.25  72
6 2 2  53.63  33
4 4 4  56.22  25
8 4 0  74.92  32

---

# 3
For YCu9Ni3, the PBE geometry in Alexandria gives the simulated powder XRD pattern in this record (CuKα).
Intensities are scaled so that the largest is 100.

```
data_YCu9Ni3
_space_group_name_H-M_alt 'C 1 2/m 1'
_space_group_IT_number 12
_cell_length_a 4.834
_cell_length_b 11.838
_cell_length_c 6.366
_cell_angle_alpha 90.00
_cell_angle_beta 111.47
_cell_angle_gamma 90.00
loop_
_space_group_symop_operation_xyz
'x,y,z'
'-x,-y,-z'
'-x,y,-z'
'x,-y,z'
'x+1/2,y+1/2,z'
'-x+1/2,-y+1/2,-z'
'-x+1/2,y+1/2,-z'
'x+1/2,-y+1/2,z'
loop_
_atom_site_label
_atom_site_fract_x
_atom_site_fract_y
_atom_site_fract_z
Y1 0.000 0.000 0.000
Cu1 0.000 0.500 0.500
Cu2 0.111 0.388 0.222
Cu3 0.166 0.177 0.350
Ni1 0.000 0.000 0.500
Ni2 0.250 0.250 0.000
```

The 6 most intense peaks (15° ≤ 2θ ≤ 90°), sorted by position:
hkl  2theta  I_rel
1 3 1  37.02  25
2 2 0  42.99  63
0 4 2  43.20  100
1 5 -1  43.28  26
2 2 -2  43.44  69
2 4 -1  48.63  65

---

# 4
For Pr4Se3O10F6, the PBE geometry in Alexandria gives the simulated powder XRD pattern in this record (CuKα).
Intensities are scaled so that the largest is 100.

```
data_Pr4Se3O10F6
_space_group_name_H-M_alt 'C 1 2/c 1'
_space_group_IT_number 15
_cell_length_a 22.681
_cell_length_b 7.201
_cell_length_c 8.467
_cell_angle_alpha 90.00
_cell_angle_beta 99.69
_cell_angle_gamma 90.00
loop_
_space_group_symop_operation_xyz
'x,y,z'
'-x,-y,-z'
'-x,y,-z+1/2'
'x,-y,z+1/2'
'x+1/2,y+1/2,z'
'-x+1/2,-y+1/2,-z'
'-x+1/2,y+1/2,-z+1/2'
'x+1/2,-y+1/2,z+1/2'
loop_
_atom_site_label
_atom_site_fract_x
_atom_site_fract_y
_atom_site_fract_z
Pr1 0.130 0.084 0.028
Pr2 0.213 0.435 0.666
Se1 0.000 0.108 0.750
Se2 0.094 0.424 0.360
O1 0.022 0.228 0.918
O2 0.061 0.023 0.239
O3 0.118 0.359 0.188
O4 0.128 0.267 0.505
O5 0.146 0.394 0.897
F1 0.179 0.029 0.798
F2 0.224 0.238 0.131
F3 0.245 0.106 0.583
```

The 6 most intense peaks (15° ≤ 2θ ≤ 90°), sorted by position:
hkl  2theta  I_rel
4 0 -2  24.37  96
2 2 -1  27.62  97
3 1 2  29.01  100
7 1 0  30.62  57
1 1 -4  44.74  41
5 3 1  45.05  55

---

# 5
For Cs3In2Au, the PBE geometry in Alexandria gives the simulated powder XRD pattern in this record (CuKα).
Intensities are scaled so that the largest is 100.

```
data_Cs3In2Au
_space_group_name_H-M_alt 'C m c m'
_space_group_IT_number 63
_space_group_name_Hall '-C 2c 2'
_cell_length_a 14.222
_cell_length_b 10.235
_cell_length_c 9.089
_cell_angle_alpha 90.00
_cell_angle_beta 90.00
_cell_angle_gamma 90.00
loop_
_atom_site_label
_atom_site_fract_x
_atom_site_fract_y
_atom_site_fract_z
Cs1 0.000 0.203 0.250
Cs2 0.185 0.194 0.750
In1 0.115 0.500 0.000
Au1 0.000 0.456 0.750
```

The 6 most intense peaks (15° ≤ 2θ ≤ 90°), sorted by position:
hkl  2theta  I_rel
3 1 1  22.87  95
2 2 1  23.55  82
1 3 0  26.87  87
3 1 2  28.59  100
4 0 2  31.96  65
5 3 2  46.10  66

---

# 6
For LiSc2Ga3, the PBE geometry in Alexandria gives the simulated powder XRD pattern in this record (CuKα).
Intensities are scaled so that the largest is 100.

```
data_LiSc2Ga3
_space_group_name_H-M_alt 'F m m m'
_space_group_IT_number 69
_space_group_name_Hall '-F 2 2'
_cell_length_a 6.467
_cell_length_b 8.752
_cell_length_c 15.135
_cell_angle_alpha 90.00
_cell_angle_beta 90.00
_cell_angle_gamma 90.00
loop_
_atom_site_label
_atom_site_fract_x
_atom_site_fract_y
_atom_site_fract_z
Li1 0.000 0.000 0.168
Sc1 0.249 0.000 0.000
Sc2 0.250 0.250 0.250
Ga1 0.000 0.000 0.331
Ga2 0.000 0.247 0.085
```

The 6 most intense peaks (15° ≤ 2θ ≤ 90°), sorted by position:
hkl  2theta  I_rel
1 1 3  24.58  22
2 0 4  36.54  100
0 4 0  41.29  85
2 4 4  56.30  27
2 2 10  72.18  24
4 4 0  72.74  29

---

# 7
For TmZnSi, the PBE geometry in Alexandria gives the simulated powder XRD pattern in this record (CuKα).
Intensities are scaled so that the largest is 100.

```
data_TmZnSi
_space_group_name_H-M_alt 'P -6 m 2'
_space_group_IT_number 187
_space_group_name_Hall 'P -6 2'
_cell_length_a 4.0837
_cell_length_b 4.0837
_cell_length_c 3.9637
_cell_angle_alpha 90.00
_cell_angle_beta 90.00
_cell_angle_gamma 120.00
loop_
_atom_site_label
_atom_site_fract_x
_atom_site_fract_y
_atom_site_fract_z
Tm1 0.0000 0.0000 0.0000
Zn1 0.6667 0.3333 0.5000
Si1 0.3333 0.6667 0.5000
```

The 6 most intense peaks (15° ≤ 2θ ≤ 90°), sorted by position:
hkl  2theta  I_rel
1 0 0  25.18  33
1 0 1  33.97  100
1 1 0  44.36  35
2 0 1  57.03  22
1 1 2  65.65  21
2 1 1  74.98  20

---

# 8
For CsTbFe2Cl8, the PBE geometry in Alexandria gives the simulated powder XRD pattern in this record (CuKα).
Intensities are scaled so that the largest is 100.

```
data_CsTbFe2Cl8
_space_group_name_H-M_alt 'C 1 2/m 1'
_space_group_IT_number 12
_cell_length_a 10.830
_cell_length_b 7.377
_cell_length_c 10.236
_cell_angle_alpha 90.00
_cell_angle_beta 96.17
_cell_angle_gamma 90.00
loop_
_space_group_symop_operation_xyz
'x,y,z'
'-x,-y,-z'
'-x,y,-z'
'x,-y,z'
'x+1/2,y+1/2,z'
'-x+1/2,-y+1/2,-z'
'-x+1/2,y+1/2,-z'
'x+1/2,-y+1/2,z'
loop_
_atom_site_label
_atom_site_fract_x
_atom_site_fract_y
_atom_site_fract_z
Cs1 0.000 0.000 0.000
Tb1 0.000 0.000 0.500
Fe1 0.121 0.500 0.294
Cl1 0.011 0.249 0.692
Cl2 0.188 0.500 0.097
Cl3 0.247 0.000 0.513
```

The 6 most intense peaks (15° ≤ 2θ ≤ 90°), sorted by position:
hkl  2theta  I_rel
2 0 0  16.48  100
1 1 -2  22.08  79
1 1 2  23.46  77
0 2 0  24.13  45
3 1 0  27.64  72
0 2 2  29.92  51

---

What is the formula in the fourth record?
Pr4Se3O10F6